The following is a calculated powder X-ray diffraction pattern of Tm5Cd2Ag2. It was derived from DFT lattice parameters and positions (PBE), using Cu Kα.
Lines closer than 0.1° are merged.

Structural model:
Unit cell a=17.273 b=7.361 c=7.370 alpha=90.00 beta=90.00 gamma=90.00
Space group Cmce (No. 64)
Unique sites:
Tm 0.000 0.000 0.000 (multiplicity 4)
Tm 0.133 0.182 0.323 (multiplicity 16)
Cd 0.224 0.000 0.000 (multiplicity 8)
Ag 0.000 0.130 0.631 (multiplicity 8)

Largest 10 diffraction maxima, by intensity, 10 to 90 degrees two-theta:
hkl, Position (°2θ), intensity
4 2 0, 31.94, 100
3 1 2, 31.27, 57
4 2 1, 34.25, 55
1 3 1, 39.02, 54
0 2 2, 34.44, 32
6 0 0, 31.06, 26
8 0 0, 41.84, 25
5 1 2, 37.73, 19
4 4 1, 55.73, 18
9 3 1, 62.73, 18

The following is a calculated powder X-ray diffraction pattern of TmCd9Ag2. It was derived from DFT lattice parameters and positions (PBE), using Cu Kα.
Lines closer than 0.1° are merged.

Structural model:
Unit cell a=11.864 b=11.864 c=7.512 alpha=90.00 beta=90.00 gamma=90.00
Space group I4_1/amd (No. 141, origin choice 2)
Unique sites:
Tm 0.000 0.250 0.375 (multiplicity 4)
Cd 0.000 0.250 0.875 (multiplicity 4)
Cd 0.120 0.052 0.672 (multiplicity 32)
Ag 0.000 0.000 0.000 (multiplicity 8)

Largest 10 diffraction maxima, by intensity, 10 to 90 degrees two-theta:
hkl, Position (°2θ), intensity
4 2 0, 33.78, 100
5 0 1, 39.84, 59
5 5 2, 60.42, 24
3 2 1, 29.64, 20
1 0 3, 36.68, 18
4 2 2, 41.68, 18
8 4 0, 71.05, 15
10 0 0, 81.04, 10
5 3 4, 67.93, 9
5 2 1, 42.77, 8

The following is a calculated powder X-ray diffraction pattern of TmCd4Ag3. It was derived from DFT lattice parameters and positions (PBE), using Cu Kα.
Lines closer than 0.1° are merged.

Structural model:
Unit cell a=13.805 b=4.815 c=5.388 alpha=90.00 beta=107.85 gamma=90.00
Space group C2/m (No. 12)
Unique sites:
Tm 0.000 0.000 0.000 (multiplicity 2)
Cd 0.130 0.000 0.575 (multiplicity 4)
Cd 0.246 0.500 0.825 (multiplicity 4)
Ag 0.000 0.500 0.500 (multiplicity 2)
Ag 0.139 0.500 0.218 (multiplicity 4)

Largest 10 diffraction maxima, by intensity, 10 to 90 degrees two-theta:
hkl, Position (°2θ), intensity
3 1 1, 35.99, 100
5 1 -1, 38.23, 91
0 2 0, 37.35, 58
2 0 -2, 33.39, 41
1 1 -2, 38.49, 32
2 2 -2, 50.96, 24
5 3 -1, 67.95, 16
3 3 1, 66.49, 16
8 2 0, 69.25, 15
8 0 0, 55.98, 15

The following is a calculated powder X-ray diffraction pattern of Tm2Cd5Ag. It was derived from DFT lattice parameters and positions (PBE), using Cu Kα.
Lines closer than 0.1° are merged.

Structural model:
Unit cell a=4.6915 b=4.6915 c=32.2249 alpha=90.00 beta=90.00 gamma=120.00
Space group R-3m (No. 166, hexagonal axes)
Unique sites:
Tm 0.0000 0.0000 0.0919 (multiplicity 6)
Cd 0.0000 0.0000 0.1974 (multiplicity 6)
Cd 0.0000 0.0000 0.3660 (multiplicity 6)
Cd 0.0000 0.0000 0.5000 (multiplicity 3)
Ag 0.0000 0.0000 0.0000 (multiplicity 3)

Largest 10 diffraction maxima, by intensity, 10 to 90 degrees two-theta:
hkl, Position (°2θ), intensity
1 1 0, 38.37, 100
1 0 7, 29.32, 69
1 0 10, 35.56, 46
0 1 11, 37.86, 44
0 2 10, 53.31, 20
3 0 0, 69.39, 17
2 1 10, 67.58, 17
0 2 7, 49.01, 16
1 0 1, 22.05, 16
2 0 11, 55.01, 15

The following is a calculated powder X-ray diffraction pattern of Tm5Cd6Ag. It was derived from DFT lattice parameters and positions (PBE), using Cu Kα.
Lines closer than 0.1° are merged.

Structural model:
Unit cell a=5.114 b=7.398 c=15.381 alpha=90.00 beta=90.00 gamma=90.00
Space group Immm (No. 71)
Unique sites:
Tm 0.000 0.000 0.000 (multiplicity 2)
Tm 0.000 0.000 0.330 (multiplicity 4)
Tm 0.000 0.500 0.334 (multiplicity 4)
Cd 0.000 0.234 0.500 (multiplicity 4)
Cd 0.000 0.263 0.160 (multiplicity 8)
Ag 0.000 0.500 0.000 (multiplicity 2)

Largest 10 diffraction maxima, by intensity, 10 to 90 degrees two-theta:
hkl, Position (°2θ), intensity
1 2 3, 34.67, 100
2 0 0, 35.05, 49
3 2 3, 62.69, 17
2 4 0, 61.89, 17
2 0 6, 50.41, 17
1 2 9, 62.57, 17
2 4 6, 73.15, 10
0 4 0, 49.27, 9
3 2 9, 84.43, 7
1 6 3, 82.68, 7

The following is a calculated powder X-ray diffraction pattern of TmCd2Ag4. It was derived from DFT lattice parameters and positions (PBE), using Cu Kα.
Lines closer than 0.1° are merged.

Structural model:
Unit cell a=7.232 b=7.232 c=5.950 alpha=90.00 beta=90.00 gamma=90.00
Space group I4/mmm (No. 139)
Unique sites:
Tm 0.000 0.000 0.000 (multiplicity 2)
Cd 0.000 0.500 0.000 (multiplicity 4)
Ag 0.250 0.250 0.250 (multiplicity 8)

Largest 10 diffraction maxima, by intensity, 10 to 90 degrees two-theta:
hkl, Position (°2θ), intensity
2 0 2, 39.22, 100
2 2 0, 35.10, 68
4 2 2, 65.73, 41
1 0 1, 19.32, 24
4 0 0, 50.48, 24
2 2 4, 73.69, 15
2 1 1, 31.49, 14
6 0 2, 87.28, 11
4 0 4, 84.32, 10
6 2 0, 84.79, 10

The following is a calculated powder X-ray diffraction pattern of TmCd5Ag. It was derived from DFT lattice parameters and positions (PBE), using Cu Kα.
Lines closer than 0.1° are merged.

Structural model:
Unit cell a=4.811 b=4.811 c=7.105 alpha=90.00 beta=90.00 gamma=90.00
Space group P4/mmm (No. 123)
Unique sites:
Tm 0.000 0.000 0.000 (multiplicity 1)
Cd 0.000 0.500 0.284 (multiplicity 4)
Cd 0.500 0.500 0.000 (multiplicity 1)
Ag 0.000 0.000 0.500 (multiplicity 1)

Largest 10 diffraction maxima, by intensity, 10 to 90 degrees two-theta:
hkl, Position (°2θ), intensity
1 1 2, 36.57, 100
2 0 0, 37.38, 52
3 1 2, 66.90, 32
1 1 1, 29.10, 20
2 2 0, 53.90, 17
2 0 4, 65.30, 13
1 0 0, 18.44, 11
2 0 3, 54.36, 9
2 2 4, 77.73, 8
0 0 3, 37.99, 7

The following is a calculated powder X-ray diffraction pattern of Tm4Cd5Ag2. It was derived from DFT lattice parameters and positions (PBE), using Cu Kα.
Lines closer than 0.1° are merged.

Structural model:
Unit cell a=7.679 b=3.461 c=9.978 alpha=90.00 beta=94.28 gamma=90.00
Space group P2/m (No. 10)
Unique sites:
Tm 0.167 0.000 0.375 (multiplicity 2)
Tm 0.259 0.000 0.945 (multiplicity 2)
Cd 0.190 0.500 0.657 (multiplicity 2)
Cd 0.445 0.500 0.197 (multiplicity 2)
Cd 0.500 0.500 0.500 (multiplicity 1)
Ag 0.063 0.500 0.137 (multiplicity 2)

Largest 10 diffraction maxima, by intensity, 10 to 90 degrees two-theta:
hkl, Position (°2θ), intensity
2 0 3, 37.16, 100
1 1 -2, 33.16, 67
1 1 2, 34.12, 60
2 1 0, 34.95, 51
3 0 -1, 35.65, 44
3 1 -4, 56.31, 35
2 1 -2, 38.65, 35
2 2 3, 66.42, 35
2 1 1, 36.58, 35
0 1 3, 37.56, 31